(1)
The following is a theoretical powder diffractogram of MnIn2GaTe6. It was derived from the GGA-PBE geometry in Alexandria, using Cu Kα (λ = 1.5418 Å).
Peak positions follow from Bragg's law for the DFT cell and can differ from measured ones.

Largest 6 diffraction maxima, sorted by position, 10° ≤ 2θ ≤ 90°:
| 2theta | Rel. int. |
| --- | --- |
| 20.4 | 33 |
| 25.6 | 40 |
| 25.8 | 100 |
| 29.8 | 73 |
| 42.6 | 78 |
| 42.8 | 69 |

Cell lengths 14.1082, 12.6682, 7.3324 Å; angles 90.00, 99.95, 90.00 degrees
Space group C2/c (No. 15)
One atom of each set of equivalent atoms:
Mn  0.0000  0.0888  0.2500 [4 per cell]
In  0.1835  0.4074  0.2835 [8 per cell]
Ga  0.0000  0.2493  0.7500 [4 per cell]
Te  0.1045  0.0774  0.6093 [8 per cell]
Te  0.1235  0.2185  0.0879 [8 per cell]
Te  0.1432  0.3869  0.6458 [8 per cell]



(2)
The following is a theoretical powder diffractogram of Zn4P3. It was derived from the GGA-PBE geometry in Alexandria, using Cu Kα (λ = 1.5418 Å).
Peak positions follow from Bragg's law for the DFT cell and can differ from measured ones.

Largest 6 diffraction maxima, sorted by position, 10° ≤ 2θ ≤ 90°:
| 2theta | Rel. int. |
| --- | --- |
| 34.1 | 53 |
| 35.3 | 34 |
| 36.8 | 100 |
| 48.1 | 35 |
| 51.9 | 43 |
| 53.0 | 33 |

Cell lengths 3.4539, 3.4539, 20.3405 Å; angles 90.00, 90.00, 90.00 degrees
Space group I4/mmm (No. 139)
One atom of each set of equivalent atoms:
Zn  0.0000  0.0000  0.0604 [4 per cell]
Zn  0.0000  0.0000  0.3039 [4 per cell]
P  0.0000  0.0000  0.1753 [4 per cell]
P  0.0000  0.0000  0.5000 [2 per cell]



(3)
The following is a theoretical powder diffractogram of NpHg2F8. It was derived from the GGA-PBE geometry in Alexandria, using Cu Kα (λ = 1.5418 Å).
Peak positions follow from Bragg's law for the DFT cell and can differ from measured ones.

Largest 6 diffraction maxima, sorted by position, 10° ≤ 2θ ≤ 90°:
| 2theta | Rel. int. |
| --- | --- |
| 22.1 | 90 |
| 23.1 | 74 |
| 26.0 | 100 |
| 29.2 | 63 |
| 32.1 | 39 |
| 40.1 | 39 |

Cell lengths 10.2288, 8.0579, 4.6790 Å; angles 90.00, 104.32, 90.00 degrees
Space group C2/m (No. 12)
One atom of each set of equivalent atoms:
Np  0.0000  0.0000  0.0000 [2 per cell]
Hg  0.1407  0.5000  0.3240 [4 per cell]
F  0.0991  0.5000  0.7906 [4 per cell]
F  0.1254  0.1927  0.2273 [8 per cell]
F  0.1309  0.0000  0.7064 [4 per cell]



(4)
The following is a theoretical powder diffractogram of AcPm4Sn2. It was derived from the GGA-PBE geometry in Alexandria, using Cu Kα (λ = 1.5418 Å).
Peak positions follow from Bragg's law for the DFT cell and can differ from measured ones.

Largest 6 diffraction maxima, sorted by position, 10° ≤ 2θ ≤ 90°:
| 2theta | Rel. int. |
| --- | --- |
| 19.7 | 42 |
| 28.2 | 41 |
| 28.4 | 37 |
| 31.0 | 58 |
| 34.9 | 100 |
| 39.3 | 56 |

Cell lengths 4.5856, 4.5856, 25.3386 Å; angles 90.00, 90.00, 90.00 degrees
Space group I4/mmm (No. 139)
One atom of each set of equivalent atoms:
Ac  0.0000  0.0000  0.0000 [2 per cell]
Pm  0.0000  0.0000  0.1374 [4 per cell]
Pm  0.0000  0.5000  0.2500 [4 per cell]
Sn  0.0000  0.0000  0.3496 [4 per cell]



(5)
The following is a theoretical powder diffractogram of Tl5Cd. It was derived from the GGA-PBE geometry in Alexandria, using Cu Kα (λ = 1.5418 Å).
Peak positions follow from Bragg's law for the DFT cell and can differ from measured ones.

Largest 6 diffraction maxima, sorted by position, 10° ≤ 2θ ≤ 90°:
| 2theta | Rel. int. |
| --- | --- |
| 29.0 | 39 |
| 32.1 | 67 |
| 33.2 | 100 |
| 33.3 | 100 |
| 34.2 | 39 |
| 34.4 | 38 |

Cell lengths 12.6555, 3.6127, 8.1007 Å; angles 90.00, 105.17, 90.00 degrees
Space group Cm (No. 8)
One atom of each set of equivalent atoms:
Tl  0.0000  0.0000  0.0000 [2 per cell]
Tl  0.0392  0.0000  0.6114 [2 per cell]
Tl  0.1650  0.5000  0.3486 [2 per cell]
Tl  0.2223  0.5000  0.9318 [2 per cell]
Tl  0.3838  0.0000  0.2765 [2 per cell]
Cd  0.3246  0.0000  0.6643 [2 per cell]



(6)
The following is a theoretical powder diffractogram of KLa5. It was derived from the GGA-PBE geometry in Alexandria, using Cu Kα (λ = 1.5418 Å).
Peak positions follow from Bragg's law for the DFT cell and can differ from measured ones.

Largest 6 diffraction maxima, sorted by position, 10° ≤ 2θ ≤ 90°:
| 2theta | Rel. int. |
| --- | --- |
| 27.5 | 28 |
| 28.3 | 49 |
| 29.7 | 59 |
| 31.0 | 100 |
| 39.8 | 21 |
| 51.8 | 23 |

Cell lengths 6.3112, 3.6855, 20.5680 Å; angles 90.00, 90.00, 90.00 degrees
Space group Amm2 (No. 38)
One atom of each set of equivalent atoms:
K  0.0000  0.0000  0.0000 [2 per cell]
La  0.0000  0.0000  0.3233 [2 per cell]
La  0.0000  0.0000  0.6839 [2 per cell]
La  0.5000  0.0000  0.2224 [2 per cell]
La  0.5000  0.0000  0.5782 [2 per cell]
La  0.5000  0.0000  0.8878 [2 per cell]



(7)
The following is a theoretical powder diffractogram of SrBeTcO5. It was derived from the GGA-PBE geometry in Alexandria, using Cu Kα (λ = 1.5418 Å).
Peak positions follow from Bragg's law for the DFT cell and can differ from measured ones.

Largest 6 diffraction maxima, sorted by position, 10° ≤ 2θ ≤ 90°:
| 2theta | Rel. int. |
| --- | --- |
| 17.8 | 48 |
| 18.2 | 29 |
| 26.7 | 100 |
| 29.5 | 57 |
| 33.8 | 43 |
| 33.9 | 63 |

Cell lengths 6.6614, 8.8024, 7.3009 Å; angles 90.00, 114.56, 90.00 degrees
Space group C2/c (No. 15)
One atom of each set of equivalent atoms:
Sr  0.0000  0.1654  0.2500 [4 per cell]
Be  0.0000  0.1900  0.7500 [4 per cell]
Tc  0.0000  0.5000  0.0000 [4 per cell]
O  0.0000  0.4433  0.2500 [4 per cell]
O  0.0895  0.2948  0.6094 [8 per cell]
O  0.1995  0.0699  0.9014 [8 per cell]



(8)
The following is a theoretical powder diffractogram of SrCd5Au7. It was derived from the GGA-PBE geometry in Alexandria, using Cu Kα (λ = 1.5418 Å).
Peak positions follow from Bragg's law for the DFT cell and can differ from measured ones.

Largest 6 diffraction maxima, sorted by position, 10° ≤ 2θ ≤ 90°:
| 2theta | Rel. int. |
| --- | --- |
| 30.9 | 71 |
| 35.8 | 38 |
| 36.3 | 87 |
| 40.7 | 100 |
| 42.1 | 43 |
| 64.4 | 33 |

Cell lengths 5.7874, 10.0207, 9.5123 Å; angles 90.00, 90.00, 90.00 degrees
Space group Imm2 (No. 44)
One atom of each set of equivalent atoms:
Sr  0.0000  0.0000  0.0000 [2 per cell]
Cd  0.0000  0.5000  0.2561 [2 per cell]
Cd  0.2492  0.2551  0.7405 [8 per cell]
Au  0.0000  0.0000  0.3467 [2 per cell]
Au  0.0000  0.0000  0.6581 [2 per cell]
Au  0.0000  0.3096  0.4877 [4 per cell]
Au  0.0000  0.3447  0.9921 [4 per cell]
Au  0.0000  0.5000  0.7204 [2 per cell]



(9)
The following is a theoretical powder diffractogram of Mg2NbSn. It was derived from the GGA-PBE geometry in Alexandria, using Cu Kα (λ = 1.5418 Å).
Peak positions follow from Bragg's law for the DFT cell and can differ from measured ones.

Largest 6 diffraction maxima, sorted by position, 10° ≤ 2θ ≤ 90°:
| 2theta | Rel. int. |
| --- | --- |
| 16.9 | 85 |
| 33.5 | 100 |
| 34.1 | 38 |
| 34.9 | 53 |
| 40.3 | 44 |
| 44.0 | 53 |

Cell lengths 3.1369, 3.1369, 31.5272 Å; angles 90.00, 90.00, 120.00 degrees
Space group R-3m (No. 166, hexagonal axes)
One atom of each set of equivalent atoms:
Mg  0.0000  0.0000  0.0888 [6 per cell]
Nb  0.0000  0.0000  0.0000 [3 per cell]
Sn  0.0000  0.0000  0.5000 [3 per cell]



(10)
The following is a theoretical powder diffractogram of Ca6N. It was derived from the GGA-PBE geometry in Alexandria, using Cu Kα (λ = 1.5418 Å).
Peak positions follow from Bragg's law for the DFT cell and can differ from measured ones.

Largest 6 diffraction maxima, sorted by position, 10° ≤ 2θ ≤ 90°:
| 2theta | Rel. int. |
| --- | --- |
| 28.0 | 42 |
| 28.5 | 51 |
| 30.5 | 56 |
| 30.7 | 100 |
| 34.7 | 29 |
| 47.6 | 22 |

Cell lengths 12.5344, 11.3731, 6.6287 Å; angles 90.00, 90.00, 90.00 degrees
Space group Pnma (No. 62)
One atom of each set of equivalent atoms:
Ca  0.0028  0.2500  0.1940 [4 per cell]
Ca  0.0085  0.5976  0.2621 [8 per cell]
Ca  0.2309  0.5981  0.9390 [8 per cell]
Ca  0.2354  0.7500  0.3947 [4 per cell]
N  0.1180  0.7500  0.1020 [4 per cell]